(1)
The following is a calculated powder X-ray diffraction pattern of Ac3Nd. It was derived from the PBE geometry in the Materials Project, using Cu Ka.

The 10 most intense peaks (2θ from 10° to 80°), low angle first:
26.10°, I = 23, (2 0 0); 28.10°, I = 26, (0 0 2); 29.71°, I = 100, (2 0 1); 38.72°, I = 17, (2 0 2); 46.04°, I = 20, (2 2 0); 50.74°, I = 23, (2 0 3); 54.81°, I = 25, (2 2 2); 55.76°, I = 18, (4 0 1); 75.12°, I = 15, (4 2 1); 77.14°, I = 9, (2 2 4)

```
data_Ac3Nd
_symmetry_space_group_name_H-M 'P 63/m m c'
_symmetry_Int_Tables_number 194
_symmetry_space_group_name_Hall '-P 6c 2c'
_cell_length_a 7.8851
_cell_length_b 7.8851
_cell_length_c 6.3513
_cell_angle_alpha 90.00
_cell_angle_beta 90.00
_cell_angle_gamma 120.00
loop_
_atom_site_label
_atom_site_fract_x
_atom_site_fract_y
_atom_site_fract_z
Ac1 0.1682 0.3365 0.2500
Nd1 0.3333 0.6667 0.7500
```

(2)
The following is a calculated powder X-ray diffraction pattern of Rb2CuBr2Cl2. It was derived from the PBE geometry in the Materials Project, using Cu Ka.

The 10 most intense peaks (2θ from 10° to 80°), low angle first:
24.34°, I = 100, (0 2 0); 32.08°, I = 29, (5 1 1); 32.43°, I = 24, (6 0 0); 32.67°, I = 67, (4 2 0); 34.68°, I = 76, (0 2 2); 40.96°, I = 18, (6 2 0); 48.21°, I = 28, (6 2 2); 49.87°, I = 25, (0 4 0); 56.24°, I = 22, (0 4 2); 60.89°, I = 18, (4 4 2)

```
data_Rb2CuBr2Cl2
_symmetry_space_group_name_H-M 'C m c e'
_symmetry_Int_Tables_number 64
_symmetry_space_group_name_Hall '-C 2ac 2'
_cell_length_a 16.5646
_cell_length_b 7.3141
_cell_length_c 7.3161
_cell_angle_alpha 90.00
_cell_angle_beta 90.00
_cell_angle_gamma 90.00
loop_
_atom_site_label
_atom_site_fract_x
_atom_site_fract_y
_atom_site_fract_z
Rb1 0.1332 0.0000 0.0000
Cu1 0.0000 0.0000 0.5000
Br1 0.1546 0.0000 0.5000
Cl1 0.0000 0.2186 0.2814
```

Repeat the first record exactly.
The following is a calculated powder X-ray diffraction pattern of Ac3Nd. It was derived from the PBE geometry in the Materials Project, using Cu Ka.

The 10 most intense peaks (2θ from 10° to 80°), low angle first:
26.10°, I = 23, (2 0 0); 28.10°, I = 26, (0 0 2); 29.71°, I = 100, (2 0 1); 38.72°, I = 17, (2 0 2); 46.04°, I = 20, (2 2 0); 50.74°, I = 23, (2 0 3); 54.81°, I = 25, (2 2 2); 55.76°, I = 18, (4 0 1); 75.12°, I = 15, (4 2 1); 77.14°, I = 9, (2 2 4)

```
data_Ac3Nd
_symmetry_space_group_name_H-M 'P 63/m m c'
_symmetry_Int_Tables_number 194
_symmetry_space_group_name_Hall '-P 6c 2c'
_cell_length_a 7.8851
_cell_length_b 7.8851
_cell_length_c 6.3513
_cell_angle_alpha 90.00
_cell_angle_beta 90.00
_cell_angle_gamma 120.00
loop_
_atom_site_label
_atom_site_fract_x
_atom_site_fract_y
_atom_site_fract_z
Ac1 0.1682 0.3365 0.2500
Nd1 0.3333 0.6667 0.7500
```